Structure and calculated powder diffractogram of Co3Os5 (a structure optimized by DFT (PBE); a wavelength of 1.5418 Å).
Lines closer than 0.1° are merged.

Cell lengths 4.6155, 13.1649, 7.2237 Å; angles 90.00, 107.59, 90.00 degrees
Space group C2/m (No. 12)
Asymmetric unit:
Co1 0.0000 0.1634 0.0000 (multiplicity 4)
Co2 0.0000 0.2570 0.5000 (multiplicity 4)
Co3 0.1020 0.5000 0.3481 (multiplicity 4)
Os1 0.0900 0.3220 0.1935 (multiplicity 8)
Os2 0.1320 0.1004 0.3507 (multiplicity 8)
Os3 0.2272 0.0000 0.9430 (multiplicity 4)

Main lines, in order of falling intensity (10 to 90 degrees two-theta):
43.77°, intensity 100.0
43.25°, intensity 56.3
44.08°, intensity 47.3
39.90°, intensity 42.0
38.37°, intensity 39.4
39.02°, intensity 37.0
41.67°, intensity 35.0
48.16°, intensity 33.6
47.01°, intensity 29.0
28.49°, intensity 23.8
41.48°, intensity 18.2
44.41°, intensity 17.9

***

Structure and calculated powder diffractogram of PrSm3Ho3 (a structure optimized by DFT (PBE); a wavelength of 1.5418 Å).
Lines closer than 0.1° are merged.

Cell lengths 9.9667, 9.9667, 8.2169 Å; angles 90.00, 90.00, 120.00 degrees
Space group R3m (No. 160, hexagonal axes)
Asymmetric unit:
Pr1 0.0000 0.0000 0.0000 (multiplicity 3)
Sm1 0.0935 0.5467 0.9598 (multiplicity 9)
Ho1 0.0660 0.5330 0.3883 (multiplicity 9)

Main lines, in order of falling intensity (10 to 90 degrees two-theta):
31.08°, intensity 100.0
30.03°, intensity 97.6
35.12°, intensity 77.5
36.05°, intensity 28.1
29.46°, intensity 26.0
32.70°, intensity 25.4
45.74°, intensity 25.2
51.21°, intensity 23.7
55.30°, intensity 21.5
57.95°, intensity 21.0
23.99°, intensity 20.2
23.28°, intensity 20.0